Structure and computed PXRD pattern of LiTl5I6 (the PBE geometry in Alexandria; Cu Kα).

The 6 most intense peaks (2θ from 5° to 70°), sorted by position:
hkl, 2θ (°), d (Å), I (rel.)
2 0 -2, 25.61, 3.478, 54
1 3 1, 25.79, 3.454, 100
3 3 -1, 36.50, 2.462, 39
2 0 2, 36.60, 2.455, 19
1 3 -3, 36.84, 2.440, 40
0 0 4, 45.52, 1.993, 31

Structure:
a b c (Å): 8.5664 14.5786 8.4640
angles (deg): 90.00 109.57 90.00
Space group C2/m (No. 12)
Unique sites:
Li 0.0000 0.0000 0.0000 (multiplicity 2)
Tl 0.0000 0.1734 0.5000 (multiplicity 4)
Tl 0.0000 0.3357 0.0000 (multiplicity 4)
Tl 0.0000 0.5000 0.5000 (multiplicity 2)
I 0.2226 0.1500 0.2245 (multiplicity 8)
I 0.2260 0.0000 0.7509 (multiplicity 4)